Record 1
Starting from DFT lattice parameters and positions (PBE), the X-ray powder pattern of Ba2TcRu3O12 was calculated for CuKα.

Cell and atoms:
```
data_Ba2TcRu3O12
_chemical_formula_sum 'Ba6 Tc3 Ru9 O36'
_symmetry_space_group_name_H-M 'R -3 m'
_symmetry_Int_Tables_number 166
_symmetry_space_group_name_Hall '-R 3 2"'
_cell_length_a 7.1074
_cell_length_b 7.1074
_cell_length_c 17.8869
_cell_angle_alpha 90.00
_cell_angle_beta 90.00
_cell_angle_gamma 120.00
loop_
_atom_site_label
_atom_site_type_symbol
_atom_site_fract_x
_atom_site_fract_y
_atom_site_fract_z
Ba1 Ba 0.0000 0.0000 0.1163
Tc1 Tc 0.0000 0.0000 0.5000
Ru1 Ru 0.0000 0.5000 0.0000
O1 O 0.0637 0.5319 0.3591
O2 O 0.0753 0.5377 0.1070
```

The 6 most intense peaks (2θ from 10° to 90°), in order of rising 2θ:
(0 1 5), 2θ = 28.9°, I = 74
(1 1 3), 2θ = 29.3°, I = 100
(0 2 1), 2θ = 29.4°, I = 60
(2 0 2), 2θ = 30.7°, I = 63
(2 0 8), 2θ = 50.5°, I = 43
(2 2 0), 2θ = 51.4°, I = 43


Record 2
Starting from DFT lattice parameters and positions (PBE), the X-ray powder pattern of Ba4TlRu3O12 was calculated for CuKα.

Cell and atoms:
```
data_Ba4TlRu3O12
_chemical_formula_sum 'Ba8 Tl2 Ru6 O24'
_symmetry_space_group_name_H-M 'I m -3 m'
_symmetry_Int_Tables_number 229
_symmetry_space_group_name_Hall '-I 4 2 3'
_cell_length_a 8.316
_cell_length_b 8.316
_cell_length_c 8.316
_cell_angle_alpha 90.00
_cell_angle_beta 90.00
_cell_angle_gamma 90.00
loop_
_atom_site_label
_atom_site_type_symbol
_atom_site_fract_x
_atom_site_fract_y
_atom_site_fract_z
Ba1 Ba 0.250 0.250 0.250
Tl1 Tl 0.000 0.000 0.000
Ru1 Ru 0.000 0.000 0.500
O1 O 0.000 0.000 0.265
O2 O 0.000 0.250 0.500
```

The 6 most intense peaks (2θ from 10° to 90°), in order of rising 2θ:
(2 2 0), 2θ = 30.4°, I = 100
(4 0 0), 2θ = 43.5°, I = 29
(4 2 2), 2θ = 54.0°, I = 40
(4 4 0), 2θ = 63.3°, I = 18
(6 2 0), 2θ = 71.8°, I = 18
(6 4 2), 2θ = 87.9°, I = 22


Record 3
Starting from DFT lattice parameters and positions (PBE), the X-ray powder pattern of BaTm2RuO8 was calculated for CuKα.

Cell and atoms:
```
data_BaTm2RuO8
_chemical_formula_sum 'Ba1 Tm2 Ru1 O8'
_symmetry_space_group_name_H-M 'P -1'
_symmetry_Int_Tables_number 2
_cell_length_a 4.332
_cell_length_b 5.244
_cell_length_c 7.157
_cell_angle_alpha 88.42
_cell_angle_beta 72.48
_cell_angle_gamma 86.74
loop_
_symmetry_equiv_pos_as_xyz
'x,y,z'
'-x,-y,-z'
loop_
_atom_site_label
_atom_site_type_symbol
_atom_site_fract_x
_atom_site_fract_y
_atom_site_fract_z
Ba1 Ba 0.000 0.000 0.000
Tm1 Tm 0.382 0.532 0.313
Ru1 Ru 0.000 0.000 0.500
O1 O 0.161 0.309 0.597
O2 O 0.220 0.765 0.628
O3 O 0.320 0.498 0.011
O4 O 0.357 0.961 0.258
```

The 6 most intense peaks (2θ from 10° to 90°), in order of rising 2θ:
(1 1 0), 2θ = 26.8°, I = 93
(1 -1 0), 2θ = 28.2°, I = 49
(1 0 2), 2θ = 28.5°, I = 100
(0 1 -2), 2θ = 31.5°, I = 43
(0 2 0), 2θ = 34.3°, I = 53
(1 -2 2), 2θ = 46.3°, I = 32


Record 4
Starting from DFT lattice parameters and positions (PBE), the X-ray powder pattern of Ba3YRu2O9 was calculated for CuKα.

Cell and atoms:
```
data_Ba3YRu2O9
_chemical_formula_sum 'Ba6 Y2 Ru4 O18'
_symmetry_space_group_name_H-M 'P 63/m m c'
_symmetry_Int_Tables_number 194
_symmetry_space_group_name_Hall '-P 6c 2c'
_cell_length_a 5.9622
_cell_length_b 5.9622
_cell_length_c 14.6060
_cell_angle_alpha 90.00
_cell_angle_beta 90.00
_cell_angle_gamma 120.00
loop_
_atom_site_label
_atom_site_type_symbol
_atom_site_fract_x
_atom_site_fract_y
_atom_site_fract_z
Ba1 Ba 0.0000 0.0000 0.2500
Ba2 Ba 0.3333 0.6667 0.0947
Y1 Y 0.0000 0.0000 0.0000
Ru1 Ru 0.3333 0.6667 0.6645
O1 O 0.0194 0.5097 0.7500
O2 O 0.1763 0.3525 0.5884
```

The 6 most intense peaks (2θ from 10° to 90°), in order of rising 2θ:
(1 0 3), 2θ = 25.1°, I = 16
(1 1 0), 2θ = 30.0°, I = 100
(2 0 4), 2θ = 42.9°, I = 23
(3 0 0), 2θ = 53.2°, I = 30
(2 2 0), 2θ = 62.3°, I = 15
(4 1 0), 2θ = 86.3°, I = 17


Record 5
Starting from DFT lattice parameters and positions (PBE), the X-ray powder pattern of Ba3YbRu2O9 was calculated for CuKα.

Cell and atoms:
```
data_Ba3YbRu2O9
_chemical_formula_sum 'Ba6 Yb2 Ru4 O18'
_symmetry_space_group_name_H-M 'P 63/m m c'
_symmetry_Int_Tables_number 194
_symmetry_space_group_name_Hall '-P 6c 2c'
_cell_length_a 5.9667
_cell_length_b 5.9667
_cell_length_c 14.5283
_cell_angle_alpha 90.00
_cell_angle_beta 90.00
_cell_angle_gamma 120.00
loop_
_atom_site_label
_atom_site_type_symbol
_atom_site_fract_x
_atom_site_fract_y
_atom_site_fract_z
Ba1 Ba 0.0000 0.0000 0.2500
Ba2 Ba 0.3333 0.6667 0.0946
Yb1 Yb 0.0000 0.0000 0.0000
Ru1 Ru 0.3333 0.6667 0.6639
O1 O 0.0175 0.5087 0.7500
O2 O 0.1771 0.3542 0.5891
```

The 6 most intense peaks (2θ from 10° to 90°), in order of rising 2θ:
(1 0 3), 2θ = 25.2°, I = 20
(1 1 0), 2θ = 30.0°, I = 100
(1 0 4), 2θ = 30.1°, I = 71
(2 0 4), 2θ = 43.0°, I = 40
(3 0 0), 2θ = 53.2°, I = 47
(4 1 0), 2θ = 86.3°, I = 19


Record 6
Starting from DFT lattice parameters and positions (PBE), the X-ray powder pattern of Ba3ZnRu2O9 was calculated for CuKα.

Cell and atoms:
```
data_Ba3ZnRu2O9
_chemical_formula_sum 'Ba6 Zn2 Ru4 O18'
_symmetry_space_group_name_H-M 'P 63/m m c'
_symmetry_Int_Tables_number 194
_symmetry_space_group_name_Hall '-P 6c 2c'
_cell_length_a 5.8602
_cell_length_b 5.8602
_cell_length_c 14.4275
_cell_angle_alpha 90.00
_cell_angle_beta 90.00
_cell_angle_gamma 120.00
loop_
_atom_site_label
_atom_site_type_symbol
_atom_site_fract_x
_atom_site_fract_y
_atom_site_fract_z
Ba1 Ba 0.0000 0.0000 0.2500
Ba2 Ba 0.3333 0.6667 0.0900
Zn1 Zn 0.0000 0.0000 0.0000
Ru1 Ru 0.3333 0.6667 0.6541
O1 O 0.0315 0.5158 0.7500
O2 O 0.1710 0.3420 0.5843
```

The 6 most intense peaks (2θ from 10° to 90°), in order of rising 2θ:
(1 0 3), 2θ = 25.5°, I = 20
(1 0 4), 2θ = 30.4°, I = 60
(1 1 0), 2θ = 30.5°, I = 100
(2 0 4), 2θ = 43.6°, I = 36
(3 0 0), 2θ = 54.2°, I = 43
(2 2 0), 2θ = 63.5°, I = 19


Record 7
Starting from DFT lattice parameters and positions (PBE), the X-ray powder pattern of Ba4ZrRu3O12 was calculated for CuKα.

Cell and atoms:
```
data_Ba4ZrRu3O12
_chemical_formula_sum 'Ba12 Zr3 Ru9 O36'
_symmetry_space_group_name_H-M 'R -3 m'
_symmetry_Int_Tables_number 166
_symmetry_space_group_name_Hall '-R 3 2"'
_cell_length_a 5.8819
_cell_length_b 5.8819
_cell_length_c 29.2496
_cell_angle_alpha 90.00
_cell_angle_beta 90.00
_cell_angle_gamma 120.00
loop_
_atom_site_label
_atom_site_type_symbol
_atom_site_fract_x
_atom_site_fract_y
_atom_site_fract_z
Ba1 Ba 0.0000 0.0000 0.1284
Ba2 Ba 0.0000 0.0000 0.2867
Zr1 Zr 0.0000 0.0000 0.0000
Ru1 Ru 0.0000 0.0000 0.4126
Ru2 Ru 0.0000 0.0000 0.5000
O1 O 0.0067 0.5033 0.2923
O2 O 0.0225 0.5113 0.1231
```

The 6 most intense peaks (2θ from 10° to 90°), in order of rising 2θ:
(1 0 7), 2θ = 27.6°, I = 57
(1 1 0), 2θ = 30.4°, I = 100
(0 2 7), 2θ = 41.5°, I = 34
(2 1 7), 2θ = 52.3°, I = 18
(3 0 0), 2θ = 54.0°, I = 20
(2 2 0), 2θ = 63.2°, I = 19


Record 8
Starting from DFT lattice parameters and positions (PBE), the X-ray powder pattern of BaS2O8 was calculated for CuKα.

Cell and atoms:
```
data_BaS2O8
_chemical_formula_sum 'Ba4 S8 O32'
_symmetry_space_group_name_H-M 'C 1 2/c 1'
_symmetry_Int_Tables_number 15
_cell_length_a 12.023
_cell_length_b 6.962
_cell_length_c 10.856
_cell_angle_alpha 90.00
_cell_angle_beta 113.56
_cell_angle_gamma 90.00
loop_
_symmetry_equiv_pos_as_xyz
'x,y,z'
'-x,-y,-z'
'-x,y,-z+1/2'
'x,-y,z+1/2'
'x+1/2,y+1/2,z'
'-x+1/2,-y+1/2,-z'
'-x+1/2,y+1/2,-z+1/2'
'x+1/2,-y+1/2,z+1/2'
loop_
_atom_site_label
_atom_site_type_symbol
_atom_site_fract_x
_atom_site_fract_y
_atom_site_fract_z
Ba1 Ba 0.000 0.237 0.250
S1 S 0.223 0.124 0.046
O1 O 0.033 0.436 0.536
O2 O 0.139 0.016 0.929
O3 O 0.164 0.204 0.130
O4 O 0.164 0.478 0.877
```

The 6 most intense peaks (2θ from 10° to 90°), in order of rising 2θ:
(2 0 -2), 2θ = 18.6°, I = 34
(1 1 1), 2θ = 19.1°, I = 100
(3 1 -1), 2θ = 25.7°, I = 26
(0 2 2), 2θ = 31.4°, I = 20
(2 2 2), 2θ = 38.7°, I = 17
(4 2 -2), 2θ = 40.0°, I = 23


Record 9
Starting from DFT lattice parameters and positions (PBE), the X-ray powder pattern of BaS2O6 was calculated for CuKα.

Cell and atoms:
```
data_BaS2O6
_chemical_formula_sum 'Ba4 S8 O24'
_symmetry_space_group_name_H-M 'C 1 2/c 1'
_symmetry_Int_Tables_number 15
_cell_length_a 12.012
_cell_length_b 8.639
_cell_length_c 7.109
_cell_angle_alpha 90.00
_cell_angle_beta 123.18
_cell_angle_gamma 90.00
loop_
_symmetry_equiv_pos_as_xyz
'x,y,z'
'-x,-y,-z'
'-x,y,-z+1/2'
'x,-y,z+1/2'
'x+1/2,y+1/2,z'
'-x+1/2,-y+1/2,-z'
'-x+1/2,y+1/2,-z+1/2'
'x+1/2,-y+1/2,z+1/2'
loop_
_atom_site_label
_atom_site_type_symbol
_atom_site_fract_x
_atom_site_fract_y
_atom_site_fract_z
Ba1 Ba 0.000 0.178 0.250
S1 S 0.212 0.448 0.163
O1 O 0.140 0.071 0.697
O2 O 0.140 0.300 0.076
O3 O 0.173 0.436 0.478
```

The 6 most intense peaks (2θ from 10° to 90°), in order of rising 2θ:
(1 1 -1), 2θ = 16.2°, I = 100
(1 1 1), 2θ = 23.5°, I = 76
(2 2 -1), 2θ = 26.0°, I = 76
(2 2 0), 2θ = 27.2°, I = 53
(1 1 -2), 2θ = 28.2°, I = 37
(4 0 -2), 2θ = 31.6°, I = 40


Record 10
Starting from DFT lattice parameters and positions (PBE), the X-ray powder pattern of BaSO was calculated for CuKα.

Cell and atoms:
```
data_BaSO
_chemical_formula_sum 'Ba4 S4 O4'
_symmetry_space_group_name_H-M 'C m c 21'
_symmetry_Int_Tables_number 36
_cell_length_a 4.341
_cell_length_b 13.010
_cell_length_c 4.987
_cell_angle_alpha 90.00
_cell_angle_beta 90.00
_cell_angle_gamma 90.00
loop_
_symmetry_equiv_pos_as_xyz
'x,y,z'
'-x,-y,z+1/2'
'-x,y,z'
'x,-y,z+1/2'
'x+1/2,y+1/2,z'
'-x+1/2,-y+1/2,z+1/2'
'-x+1/2,y+1/2,z'
'x+1/2,-y+1/2,z+1/2'
loop_
_atom_site_label
_atom_site_type_symbol
_atom_site_fract_x
_atom_site_fract_y
_atom_site_fract_z
Ba1 Ba 0.000 0.129 0.000
S1 S 0.000 0.409 0.994
O1 O 0.000 0.311 0.762
```

The 6 most intense peaks (2θ from 10° to 90°), in order of rising 2θ:
(0 2 1), 2θ = 22.5°, I = 64
(0 4 0), 2θ = 27.4°, I = 46
(1 1 1), 2θ = 28.1°, I = 100
(1 3 1), 2θ = 34.3°, I = 62
(0 4 2), 2θ = 45.9°, I = 22
(2 4 2), 2θ = 63.6°, I = 27


Record 11
Starting from DFT lattice parameters and positions (PBE), the X-ray powder pattern of BaSO3 was calculated for CuKα.

Cell and atoms:
```
data_BaSO3
_chemical_formula_sum 'Ba2 S2 O6'
_symmetry_space_group_name_H-M 'P 1 21/m 1'
_symmetry_Int_Tables_number 11
_cell_length_a 4.717
_cell_length_b 5.573
_cell_length_c 6.799
_cell_angle_alpha 90.00
_cell_angle_beta 106.71
_cell_angle_gamma 90.00
loop_
_symmetry_equiv_pos_as_xyz
'x,y,z'
'-x,-y,-z'
'-x,y+1/2,-z'
'x,-y+1/2,z'
loop_
_atom_site_label
_atom_site_type_symbol
_atom_site_fract_x
_atom_site_fract_y
_atom_site_fract_z
Ba1 Ba 0.155 0.250 0.275
S1 S 0.424 0.250 0.823
O1 O 0.234 0.750 0.127
O2 O 0.323 0.031 0.680
```

The 6 most intense peaks (2θ from 10° to 90°), in order of rising 2θ:
(0 1 1), 2θ = 21.0°, I = 64
(1 1 0), 2θ = 25.4°, I = 85
(1 1 -1), 2θ = 26.0°, I = 100
(0 0 2), 2θ = 27.4°, I = 78
(1 1 -2), 2θ = 33.1°, I = 43
(1 2 1), 2θ = 42.5°, I = 41


Repeat the first record exactly.
Starting from DFT lattice parameters and positions (PBE), the X-ray powder pattern of Ba2TcRu3O12 was calculated for CuKα.

Cell and atoms:
```
data_Ba2TcRu3O12
_chemical_formula_sum 'Ba6 Tc3 Ru9 O36'
_symmetry_space_group_name_H-M 'R -3 m'
_symmetry_Int_Tables_number 166
_symmetry_space_group_name_Hall '-R 3 2"'
_cell_length_a 7.1074
_cell_length_b 7.1074
_cell_length_c 17.8869
_cell_angle_alpha 90.00
_cell_angle_beta 90.00
_cell_angle_gamma 120.00
loop_
_atom_site_label
_atom_site_type_symbol
_atom_site_fract_x
_atom_site_fract_y
_atom_site_fract_z
Ba1 Ba 0.0000 0.0000 0.1163
Tc1 Tc 0.0000 0.0000 0.5000
Ru1 Ru 0.0000 0.5000 0.0000
O1 O 0.0637 0.5319 0.3591
O2 O 0.0753 0.5377 0.1070
```

The 6 most intense peaks (2θ from 10° to 90°), in order of rising 2θ:
(0 1 5), 2θ = 28.9°, I = 74
(1 1 3), 2θ = 29.3°, I = 100
(0 2 1), 2θ = 29.4°, I = 60
(2 0 2), 2θ = 30.7°, I = 63
(2 0 8), 2θ = 50.5°, I = 43
(2 2 0), 2θ = 51.4°, I = 43